# 1
# BaAg5Pb7
Calculated X-ray powder pattern, copper Kα. Input: DFT lattice parameters and positions (GGA-PBE).
Peak positions follow from Bragg's law for the DFT cell and can differ from measured ones.

Cell and atoms:
```
data_BaAg5Pb7
_chemical_formula_sum 'Ba2 Ag10 Pb14'
_cell_length_a 6.097
_cell_length_b 10.611
_cell_length_c 10.822
_cell_angle_alpha 90.00
_cell_angle_beta 90.00
_cell_angle_gamma 90.00
_space_group_name_H-M_alt 'I m m 2'
_space_group_IT_number 44
loop_
_space_group_symop_operation_xyz
'x,y,z'
'-x,-y,z'
'-x,y,z'
'x,-y,z'
'x+1/2,y+1/2,z+1/2'
'-x+1/2,-y+1/2,z+1/2'
'-x+1/2,y+1/2,z+1/2'
'x+1/2,-y+1/2,z+1/2'
loop_
_atom_site_label
_atom_site_type_symbol
_atom_site_fract_x
_atom_site_fract_y
_atom_site_fract_z
Ba1 Ba 0.000 0.000 0.000
Ag1 Ag 0.000 0.500 0.273
Ag2 Ag 0.250 0.242 0.752
Pb1 Pb 0.000 0.000 0.354
Pb2 Pb 0.000 0.000 0.657
Pb3 Pb 0.000 0.301 0.493
Pb4 Pb 0.000 0.348 0.009
Pb5 Pb 0.000 0.500 0.727
```

Principal peaks in the range 10 to 90 degrees two-theta, in order of rising 2θ:
h k l	2θ/deg	I/Imax
1 3 0	29.2	43
2 0 0	29.3	35
0 0 4	33.1	31
1 2 3	33.4	48
1 3 2	33.7	100
0 2 4	37.3	50
2 2 2	37.9	88
2 0 6	59.5	40

# 2
# CsSiH5
Calculated X-ray powder pattern, copper Kα. Input: DFT lattice parameters and positions (GGA-PBE).
Peak positions follow from Bragg's law for the DFT cell and can differ from measured ones.

Cell and atoms:
```
data_CsSiH5
_chemical_formula_sum 'Cs4 Si4 H20'
_cell_length_a 9.879
_cell_length_b 7.490
_cell_length_c 5.317
_cell_angle_alpha 90.00
_cell_angle_beta 90.00
_cell_angle_gamma 90.00
_space_group_name_H-M_alt 'I m a 2'
_space_group_IT_number 46
loop_
_space_group_symop_operation_xyz
'x,y,z'
'-x,-y,z'
'-x+1/2,y,z'
'x+1/2,-y,z'
'x+1/2,y+1/2,z+1/2'
'-x+1/2,-y+1/2,z+1/2'
'-x,y+1/2,z+1/2'
'x,-y+1/2,z+1/2'
loop_
_atom_site_label
_atom_site_type_symbol
_atom_site_fract_x
_atom_site_fract_y
_atom_site_fract_z
Cs1 Cs 0.000 0.000 0.000
Si1 Si 0.250 0.085 0.500
H1 H 0.095 0.118 0.501
H2 H 0.250 0.249 0.752
H3 H 0.250 0.553 0.783
H4 H 0.250 0.556 0.214
```

Principal peaks in the range 10 to 90 degrees two-theta, in order of rising 2θ:
h k l	2θ/deg	I/Imax
2 0 0	18.0	26
0 1 1	20.5	42
0 2 0	23.8	31
2 1 1	27.4	100
2 2 0	29.9	22
0 0 2	33.7	15
2 3 1	44.1	19
2 1 3	56.5	23